Diffraction record for Ac2TlRu. The powder diffraction line list is simulated, not measured: it uses a structure optimized by DFT (PBE) and Cu Kα (λ = 1.5418 Å).
Lines closer than 0.1° are merged.

Lattice parameters (Å, degrees): 9.4446 9.4446 7.4520 107.80 107.80 112.46
Positions (direct):
Ac (0.0091, 0.5977, 0.2917)
Ac (0.1134, 0.2334, 0.2242)
Ac (0.2334, 0.1134, 0.7242)
Ac (0.4023, 0.9909, 0.2083)
Ac (0.5977, 0.0091, 0.7917)
Ac (0.7666, 0.8866, 0.2758)
Ac (0.8866, 0.7666, 0.7758)
Ac (0.9909, 0.4023, 0.7083)
Tl (0.3842, 0.6158, 0.2500)
Tl (0.4125, 0.5875, 0.7500)
Tl (0.5875, 0.4125, 0.2500)
Tl (0.6158, 0.3842, 0.7500)
Ru (0.0805, 0.9195, 0.2500)
Ru (0.2293, 0.7707, 0.7500)
Ru (0.7707, 0.2293, 0.2500)
Ru (0.9195, 0.0805, 0.7500)

Largest 10 diffraction maxima, low angle first, 10° ≤ 2θ ≤ 90°:
2θ = 26.85°, 3.320 Å, intensity 28.5
2θ = 28.57°, 3.125 Å, intensity 62.6
2θ = 28.69°, 3.111 Å, intensity 100.0
2θ = 30.83°, 2.900 Å, intensity 33.4
2θ = 31.12°, 2.874 Å, intensity 30.4
2θ = 34.76°, 2.581 Å, intensity 17.4
2θ = 38.52°, 2.337 Å, intensity 16.5
2θ = 43.23°, 2.093 Å, intensity 26.2
2θ = 44.36°, 2.042 Å, intensity 15.9
2θ = 49.84°, 1.829 Å, intensity 12.8